Diffraction record for K11Rb17Sr. The XRD peak list is calculated, not measured: it uses a DFT-relaxed cell (PBE, Alexandria) and Cu Ka.
Intensities are scaled so that the largest is 100.

Structural model:
```
data_K11Rb17Sr
_chemical_formula_sum 'K11 Rb17 Sr1'
_cell_length_a 14.6867
_cell_length_b 14.6867
_cell_length_c 14.4893
_cell_angle_alpha 109.38
_cell_angle_beta 109.38
_cell_angle_gamma 109.84
_symmetry_space_group_name_H-M 'P 1'
_symmetry_Int_Tables_number 1
_symmetry_space_group_name_Hall 'P 1'
loop_
_atom_site_label
_atom_site_type_symbol
_atom_site_fract_x
_atom_site_fract_y
_atom_site_fract_z
K1 K 0.0000 0.0000 0.0000
K2 K 0.9996 0.1846 0.5580
K3 K 0.0015 0.6321 0.3740
K4 K 0.1846 0.9996 0.5580
K5 K 0.4442 0.8156 0.9997
K6 K 0.4472 0.6290 0.1867
K7 K 0.6280 0.8146 0.8164
K8 K 0.6290 0.4472 0.1867
K9 K 0.6321 0.0015 0.3740
K10 K 0.8146 0.6280 0.8164
K11 K 0.8156 0.4442 0.9997
Rb1 Rb 0.0940 0.5012 0.8748
Rb2 Rb 0.1319 0.8135 0.7810
Rb3 Rb 0.1329 0.4064 0.1897
Rb4 Rb 0.1702 0.8221 0.1894
Rb5 Rb 0.2176 0.5317 0.5893
Rb6 Rb 0.2235 0.2235 0.9124
Rb7 Rb 0.4064 0.1329 0.1897
Rb8 Rb 0.4068 0.8143 0.5022
Rb9 Rb 0.4538 0.4538 0.8212
Rb10 Rb 0.4976 0.4976 0.4650
Rb11 Rb 0.5012 0.0940 0.8748
Rb12 Rb 0.5317 0.2176 0.5893
Rb13 Rb 0.8135 0.1319 0.7810
Rb14 Rb 0.8143 0.4068 0.5022
Rb15 Rb 0.8145 0.8145 0.5450
Rb16 Rb 0.8212 0.8212 0.1904
Rb17 Rb 0.8221 0.1702 0.1894
Sr1 Sr 0.1853 0.1853 0.3707
```

Main lines, most intense first (15° ≤ 2θ ≤ 90°):
d_spacing  Position (°2θ)  intensity
3.984  22.31  100
3.964  22.43  98
3.998  22.24  40
2.298  39.20  24
3.614  24.63  22
2.304  39.10  20
4.217  21.07  19
2.285  39.44  17
3.458  25.76  15
3.943  22.55  14

Diffraction record for K4Rb15Sr. The XRD peak list is calculated, not measured: it uses a DFT-relaxed cell (PBE, Alexandria) and Cu Ka.
Intensities are scaled so that the largest is 100.

Structural model:
```
data_K4Rb15Sr
_chemical_formula_sum 'K4 Rb15 Sr1'
_cell_length_a 7.1063
_cell_length_b 7.1063
_cell_length_c 33.5623
_cell_angle_alpha 90.00
_cell_angle_beta 90.00
_cell_angle_gamma 90.00
_symmetry_space_group_name_H-M 'P 1'
_symmetry_Int_Tables_number 1
_symmetry_space_group_name_Hall 'P 1'
loop_
_atom_site_label
_atom_site_type_symbol
_atom_site_fract_x
_atom_site_fract_y
_atom_site_fract_z
K1 K 0.0000 0.0000 0.1006
K2 K 0.0000 0.0000 0.3040
K3 K 0.0000 0.0000 0.6960
K4 K 0.0000 0.0000 0.8994
Rb1 Rb 0.0000 0.5000 0.0000
Rb2 Rb 0.0000 0.5000 0.2021
Rb3 Rb 0.0000 0.5000 0.4040
Rb4 Rb 0.0000 0.5000 0.5960
Rb5 Rb 0.0000 0.5000 0.7979
Rb6 Rb 0.5000 0.0000 0.0000
Rb7 Rb 0.5000 0.0000 0.2021
Rb8 Rb 0.5000 0.0000 0.4040
Rb9 Rb 0.5000 0.0000 0.5960
Rb10 Rb 0.5000 0.0000 0.7979
Rb11 Rb 0.5000 0.5000 0.1008
Rb12 Rb 0.5000 0.5000 0.3027
Rb13 Rb 0.5000 0.5000 0.5000
Rb14 Rb 0.5000 0.5000 0.6973
Rb15 Rb 0.5000 0.5000 0.8992
Sr1 Sr 0.0000 0.0000 0.5000
```

Main lines, most intense first (15° ≤ 2θ ≤ 90°):
d_spacing  Position (°2θ)  intensity
4.023  22.10  100
3.553  25.06  37
2.131  42.42  35
2.440  36.84  26
3.356  26.56  16
2.044  44.32  14
2.512  35.74  14
2.011  45.08  14
1.586  58.18  13
1.436  64.93  9